Diffraction record for NaGa4. The powder diffraction line list is theoretical, not measured: it uses DFT lattice parameters and positions (PBE) and a wavelength of 1.5418 Å.

Cell and atoms:
```
NaGa4
1.0
4.2661 0.0000 0.0000
0.0000 4.2661 0.0000
0.0000 0.0000 11.2949
Na Ga
2 8
direct
0.0000 0.0000 0.0000
0.5000 0.5000 0.5000
0.0000 0.0000 0.3894
0.0000 0.0000 0.6106
0.0000 0.5000 0.2500
0.0000 0.5000 0.7500
0.5000 0.0000 0.2500
0.5000 0.0000 0.7500
0.5000 0.5000 0.1106
0.5000 0.5000 0.8894
```

Peak list (6 most intense, 10° ≤ 2θ ≤ 80°, by intensity)
d_spacing, two_theta, I/Imax, hkl
2.661, 33.7, 100, 1 1 2
2.061, 43.9, 82, 1 1 4
2.133, 42.4, 68, 2 0 0
3.991, 22.3, 57, 1 0 1
1.996, 45.4, 39, 1 0 5
5.647, 15.7, 38, 0 0 2



Diffraction record for NaGa2. The powder diffraction line list is theoretical, not measured: it uses DFT lattice parameters and positions (PBE) and a wavelength of 1.5418 Å.

Cell and atoms:
```
NaGa2
1.0
4.4350 0.0000 0.0000
0.0000 7.2834 0.0000
0.0000 0.0000 7.8641
Na Ga
4 8
direct
0.0000 0.2500 0.0618
0.0000 0.7500 0.9382
0.5000 0.2500 0.4382
0.5000 0.7500 0.5618
0.0000 0.0619 0.6614
0.0000 0.4381 0.6614
0.0000 0.5619 0.3386
0.0000 0.9381 0.3386
0.5000 0.0619 0.8386
0.5000 0.4381 0.8386
0.5000 0.5619 0.1614
0.5000 0.9381 0.1614
```

Peak list (6 most intense, 10° ≤ 2θ ≤ 80°, by intensity)
d_spacing, two_theta, I/Imax, hkl
2.257, 40.0, 100, 1 0 3
2.650, 33.8, 80, 1 2 1
2.320, 38.8, 69, 0 3 1
2.728, 32.8, 64, 1 1 2
2.217, 40.7, 57, 2 0 0
5.344, 16.6, 54, 0 1 1



Diffraction record for Na4Ga. The powder diffraction line list is theoretical, not measured: it uses DFT lattice parameters and positions (PBE) and a wavelength of 1.5418 Å.

Cell and atoms:
```
Na4Ga
1.0
5.7540 0.0000 0.0000
0.0000 5.7540 0.0000
0.0000 0.0000 5.7540
Na Ga
4 1
direct
0.0000 0.0000 0.0000
0.0000 0.5000 0.5000
0.5000 0.0000 0.5000
0.5000 0.5000 0.0000
0.5000 0.5000 0.5000
```

Peak list (6 most intense, 10° ≤ 2θ ≤ 80°, by intensity)
d_spacing, two_theta, I/Imax, hkl
2.877, 31.1, 100, 2 0 0
5.754, 15.4, 100, 1 0 0
4.069, 21.8, 88, 1 1 0
2.034, 44.5, 71, 2 2 0
2.573, 34.9, 54, 2 1 0
2.349, 38.3, 41, 2 1 1